# 1
The following is a simulated powder diffractogram of YMnAg. It was derived from the PBE geometry in Alexandria, using CuKα.
Intensities are scaled so that the largest is 100.

Top 12 peaks for 10 to 80 degrees two-theta, sorted by position:
2θ = 22.10°, rel. 11, (1 0 0); 2θ = 25.38°, rel. 7, (0 0 1); 2θ = 33.90°, rel. 100, (1 0 1); 2θ = 38.77°, rel. 70, (1 1 0); 2θ = 45.07°, rel. 2, (2 0 0); 2θ = 46.91°, rel. 7, (1 1 1); 2θ = 52.13°, rel. 9, (0 0 2); 2θ = 52.43°, rel. 28, (2 0 1); 2θ = 57.29°, rel. 2, (1 0 2); 2θ = 66.83°, rel. 26, (1 1 2); 2θ = 67.09°, rel. 25, (2 1 1); 2θ = 70.19°, rel. 11, (3 0 0)

Structure:
Cell lengths 4.6451, 4.6451, 3.5091 Å; angles 90.00, 90.00, 120.00 degrees
Space group P-6m2 (No. 187)
Symmetry-distinct sites (fractional):
Y 0.0000 0.0000 0.0000
Mn 0.3333 0.6667 0.5000
Ag 0.6667 0.3333 0.5000

***

# 2
The following is a simulated powder diffractogram of InGaPb. It was derived from the PBE geometry in Alexandria, using CuKα.
Intensities are scaled so that the largest is 100.

Top 12 peaks for 10 to 80 degrees two-theta, sorted by position:
2θ = 27.87°, rel. 52, (0 0 15); 2θ = 30.48°, rel. 75, (0 1 2); 2θ = 31.68°, rel. 62, (0 1 5); 2θ = 33.01°, rel. 100, (1 0 7); 2θ = 33.59°, rel. 51, (0 0 18); 2θ = 33.81°, rel. 73, (0 1 8); 2θ = 35.68°, rel. 42, (1 0 10); 2θ = 36.73°, rel. 62, (0 1 11); 2θ = 42.95°, rel. 63, (1 0 16); 2θ = 53.74°, rel. 95, (1 1 0); 2θ = 61.60°, rel. 35, (1 1 15); 2θ = 64.88°, rel. 46, (1 1 18)

Structure:
Cell lengths 3.4119, 3.4119, 48.0219 Å; angles 90.00, 90.00, 120.00 degrees
Space group R-3m (No. 166, hexagonal axes)
Symmetry-distinct sites (fractional):
In 0.0000 0.0000 0.2437
Ga 0.0000 0.0000 0.1860
Pb 0.0000 0.0000 0.3653

***

# 3
The following is a simulated powder diffractogram of Sm2Cu4Se5. It was derived from the PBE geometry in Alexandria, using CuKα.
Intensities are scaled so that the largest is 100.

Top 12 peaks for 10 to 80 degrees two-theta, sorted by position:
2θ = 26.38°, rel. 40, (1 0 4); 2θ = 29.16°, rel. 68, (0 1 8); 2θ = 32.02°, rel. 22, (0 0 18); 2θ = 32.16°, rel. 92, (0 1 11); 2θ = 38.45°, rel. 42, (1 0 16); 2θ = 44.76°, rel. 100, (1 1 0); 2θ = 47.46°, rel. 44, (1 0 22); 2θ = 56.13°, rel. 44, (2 0 11); 2θ = 67.28°, rel. 15, (0 2 22); 2θ = 68.42°, rel. 13, (1 1 27); 2θ = 74.54°, rel. 15, (1 2 11); 2θ = 76.97°, rel. 12, (0 1 38)

Structure:
Cell lengths 4.0493, 4.0493, 50.3189 Å; angles 90.00, 90.00, 120.00 degrees
Space group R-3m (No. 166, hexagonal axes)
Symmetry-distinct sites (fractional):
Sm 0.0000 0.0000 0.1313
Cu 0.0000 0.0000 0.3141
Cu 0.0000 0.0000 0.4139
Se 0.0000 0.0000 0.2377
Se 0.0000 0.0000 0.3657
Se 0.0000 0.0000 0.5000

***

# 4
The following is a simulated powder diffractogram of YbCu4Au. It was derived from the PBE geometry in Alexandria, using CuKα.
Intensities are scaled so that the largest is 100.

Top 10 peaks for 10 to 80 degrees two-theta, sorted by position:
2θ = 21.51°, rel. 17, (1 1 1); 2θ = 35.48°, rel. 67, (2 2 0); 2θ = 41.87°, rel. 100, (3 1 1); 2θ = 43.82°, rel. 14, (2 2 2); 2θ = 51.05°, rel. 1, (4 0 0); 2θ = 56.01°, rel. 5, (3 3 1); 2θ = 63.71°, rel. 25, (4 2 2); 2θ = 68.08°, rel. 31, (3 3 3); 2θ = 75.09°, rel. 22, (4 4 0); 2θ = 79.18°, rel. 4, (5 3 1)

Structure:
Cell lengths 7.156, 7.156, 7.156 Å; angles 90.00, 90.00, 90.00 degrees
Space group F-43m (No. 216)
Symmetry-distinct sites (fractional):
Yb 0.000 0.000 0.000
Cu 0.124 0.124 0.624
Au 0.250 0.250 0.250

***

# 5
The following is a simulated powder diffractogram of Pr3Te2. It was derived from the PBE geometry in Alexandria, using CuKα.
Intensities are scaled so that the largest is 100.

Top 12 peaks for 10 to 80 degrees two-theta, sorted by position:
2θ = 26.03°, rel. 30, (3 0 2); 2θ = 26.30°, rel. 28, (1 1 2); 2θ = 29.15°, rel. 46, (2 1 2); 2θ = 29.73°, rel. 38, (4 0 1); 2θ = 30.18°, rel. 100, (0 1 3); 2θ = 30.84°, rel. 52, (3 1 1); 2θ = 31.06°, rel. 49, (1 1 3); 2θ = 32.71°, rel. 33, (2 0 4); 2θ = 33.42°, rel. 58, (3 1 2); 2θ = 38.69°, rel. 35, (4 1 2); 2θ = 41.88°, rel. 47, (0 2 0); 2θ = 43.03°, rel. 29, (3 0 5)

Structure:
Cell lengths 12.402, 4.314, 12.207 Å; angles 90.00, 90.00, 90.00 degrees
Space group Pnma (No. 62)
Symmetry-distinct sites (fractional):
Pr 0.046 0.250 0.124
Pr 0.120 0.750 0.563
Pr 0.215 0.250 0.793
Te 0.027 0.750 0.316
Te 0.193 0.750 0.995

***

# 6
The following is a simulated powder diffractogram of NaMgAu4. It was derived from the PBE geometry in Alexandria, using CuKα.
Intensities are scaled so that the largest is 100.

Top 12 peaks for 10 to 80 degrees two-theta, sorted by position:
2θ = 14.33°, rel. 43, (0 0 1); 2θ = 22.16°, rel. 100, (2 0 1); 2θ = 30.04°, rel. 60, (2 2 0); 2θ = 32.20°, rel. 25, (2 2 -1); 2θ = 34.81°, rel. 30, (2 0 2); 2θ = 37.11°, rel. 34, (4 0 -2); 2θ = 39.45°, rel. 20, (4 2 0); 2θ = 40.14°, rel. 80, (2 2 -2); 2θ = 40.53°, rel. 18, (1 3 0); 2θ = 43.66°, rel. 36, (6 0 -1); 2θ = 44.12°, rel. 45, (4 2 1); 2θ = 51.91°, rel. 27, (0 2 3)

Structure:
Cell lengths 12.576, 6.788, 6.292 Å; angles 90.00, 100.77, 90.00 degrees
Space group C2/m (No. 12)
Symmetry-distinct sites (fractional):
Na 0.245 0.000 0.482
Mg 0.038 0.000 0.784
Au 0.000 0.295 0.500
Au 0.105 0.287 0.147
Au 0.238 0.000 0.005

***

# 7
The following is a simulated powder diffractogram of Ho6In2Tc. It was derived from the PBE geometry in Alexandria, using CuKα.
Intensities are scaled so that the largest is 100.

Top 12 peaks for 10 to 80 degrees two-theta, sorted by position:
2θ = 31.13°, rel. 100, (1 1 1); 2θ = 31.99°, rel. 59, (2 1 0); 2θ = 33.45°, rel. 56, (2 0 1); 2θ = 36.41°, rel. 40, (3 0 0); 2θ = 39.71°, rel. 34, (2 1 1); 2θ = 46.81°, rel. 18, (0 0 2); 2θ = 50.27°, rel. 12, (3 1 1); 2θ = 57.82°, rel. 22, (2 1 2); 2θ = 59.40°, rel. 28, (3 2 1); 2θ = 60.71°, rel. 18, (3 0 2); 2θ = 62.25°, rel. 12, (4 1 1); 2θ = 77.00°, rel. 8, (1 1 3)

Structure:
Cell lengths 8.5476, 8.5476, 3.8818 Å; angles 90.00, 90.00, 120.00 degrees
Space group P-62m (No. 189)
Symmetry-distinct sites (fractional):
Ho 0.0000 0.3860 0.0000
Ho 0.0000 0.7575 0.5000
In 0.3333 0.6667 0.5000
Tc 0.0000 0.0000 0.0000

***

# 8
The following is a simulated powder diffractogram of Ca2Mg15Cd2. It was derived from the PBE geometry in Alexandria, using CuKα.
Intensities are scaled so that the largest is 100.

Top 12 peaks for 10 to 80 degrees two-theta, sorted by position:
2θ = 11.46°, rel. 100, (1 0 1); 2θ = 17.15°, rel. 45, (1 1 0); 2θ = 25.37°, rel. 27, (1 0 4); 2θ = 29.93°, rel. 64, (3 0 0); 2θ = 30.79°, rel. 37, (0 2 4); 2θ = 34.70°, rel. 70, (2 2 0); 2θ = 34.85°, rel. 30, (0 3 3); 2θ = 35.45°, rel. 31, (2 1 4); 2θ = 35.60°, rel. 37, (2 0 5); 2θ = 39.08°, rel. 36, (2 2 3); 2θ = 39.48°, rel. 25, (1 1 6); 2θ = 39.76°, rel. 29, (1 2 5)

Structure:
Cell lengths 10.3410, 10.3410, 15.2619 Å; angles 90.00, 90.00, 120.00 degrees
Space group R-3m (No. 166, hexagonal axes)
Symmetry-distinct sites (fractional):
Ca 0.0000 0.0000 0.1682
Mg 0.0000 0.3032 0.5000
Mg 0.0000 0.5000 0.0000
Mg 0.0035 0.5018 0.6540
Cd 0.0000 0.0000 0.3987

***

# 9
The following is a simulated powder diffractogram of Sm2Co18Si4C3. It was derived from the PBE geometry in Alexandria, using CuKα.
Intensities are scaled so that the largest is 100.

Top 12 peaks for 10 to 80 degrees two-theta, sorted by position:
2θ = 25.48°, rel. 19, (2 2 0); 2θ = 30.53°, rel. 24, (4 0 -1); 2θ = 30.70°, rel. 27, (3 1 -2); 2θ = 35.66°, rel. 16, (3 3 -1); 2θ = 40.18°, rel. 46, (1 1 2); 2θ = 40.31°, rel. 63, (1 3 -2); 2θ = 40.41°, rel. 34, (5 1 -2); 2θ = 40.81°, rel. 100, (2 4 0); 2θ = 43.32°, rel. 27, (2 0 -3); 2θ = 46.45°, rel. 21, (6 0 -2); 2θ = 48.20°, rel. 24, (1 5 -1); 2θ = 50.22°, rel. 16, (4 4 -2)

Structure:
Cell lengths 11.757, 9.882, 6.407 Å; angles 90.00, 122.69, 90.00 degrees
Space group C2/m (No. 12)
Symmetry-distinct sites (fractional):
Sm 0.246 0.000 0.370
Co 0.045 0.121 0.857
Co 0.047 0.374 0.743
Co 0.123 0.201 0.569
Co 0.123 0.292 0.177
Co 0.248 0.000 0.884
Si 0.000 0.000 0.500
Si 0.000 0.500 0.000
Si 0.250 0.250 0.000
C 0.000 0.500 0.500
C 0.250 0.250 0.500

***

# 10
The following is a simulated powder diffractogram of Th2Zn3Ga2. It was derived from the PBE geometry in Alexandria, using CuKα.
Intensities are scaled so that the largest is 100.

Top 12 peaks for 10 to 80 degrees two-theta, sorted by position:
2θ = 24.47°, rel. 17, (1 1 -1); 2θ = 28.01°, rel. 30, (1 1 1); 2θ = 28.75°, rel. 23, (0 0 2); 2θ = 33.81°, rel. 100, (3 1 0); 2θ = 36.25°, rel. 15, (4 0 0); 2θ = 37.90°, rel. 40, (3 1 -2); 2θ = 39.03°, rel. 20, (1 1 2); 2θ = 39.30°, rel. 14, (2 0 2); 2θ = 40.73°, rel. 31, (0 2 0); 2θ = 55.65°, rel. 19, (4 2 0); 2θ = 57.89°, rel. 15, (4 0 -4); 2θ = 69.73°, rel. 19, (3 3 0)

Structure:
Cell lengths 10.594, 4.430, 6.637 Å; angles 90.00, 110.67, 90.00 degrees
Space group C2/m (No. 12)
Symmetry-distinct sites (fractional):
Th 0.152 0.000 0.269
Zn 0.000 0.500 0.500
Zn 0.090 0.500 0.916
Ga 0.151 0.000 0.757

***

# 11
The following is a simulated powder diffractogram of ReOs4Ru2. It was derived from the PBE geometry in Alexandria, using CuKα.
Intensities are scaled so that the largest is 100.

Top 12 peaks for 10 to 80 degrees two-theta, sorted by position:
2θ = 11.88°, rel. 8, (0 0 1); 2θ = 23.29°, rel. 6, (1 0 0); 2θ = 23.88°, rel. 10, (0 0 2); 2θ = 33.18°, rel. 9, (1 1 0); 2θ = 35.36°, rel. 6, (1 1 1); 2θ = 41.29°, rel. 100, (1 1 2); 2θ = 47.54°, rel. 17, (0 2 0); 2θ = 47.72°, rel. 17, (2 0 0); 2θ = 48.89°, rel. 15, (0 0 4); 2θ = 69.64°, rel. 11, (2 2 0); 2θ = 70.57°, rel. 10, (0 2 4); 2θ = 70.71°, rel. 10, (2 0 4)

Structure:
Cell lengths 3.812, 3.825, 7.452 Å; angles 90.00, 90.00, 90.00 degrees
Space group Pmmm (No. 47)
Symmetry-distinct sites (fractional):
Re 0.000 0.000 0.000
Os 0.000 0.500 0.260
Os 0.500 0.000 0.258
Ru 0.000 0.000 0.500
Ru 0.500 0.500 0.000

***

# 12
The following is a simulated powder diffractogram of CaOs2O. It was derived from the PBE geometry in Alexandria, using CuKα.
Intensities are scaled so that the largest is 100.

Top 12 peaks for 10 to 80 degrees two-theta, sorted by position:
2θ = 19.38°, rel. 100, (1 0 1); 2θ = 26.89°, rel. 39, (0 0 4); 2θ = 27.22°, rel. 66, (1 0 3); 2θ = 38.63°, rel. 26, (1 0 5); 2θ = 39.35°, rel. 83, (2 0 2); 2θ = 41.95°, rel. 42, (2 1 1); 2θ = 46.40°, rel. 21, (2 1 3); 2θ = 53.08°, rel. 13, (2 2 0); 2θ = 54.44°, rel. 13, (2 1 5); 2θ = 56.15°, rel. 30, (2 0 6); 2θ = 60.49°, rel. 31, (2 2 4); 2θ = 78.33°, rel. 14, (4 0 0)

Structure:
Cell lengths 4.880, 4.880, 13.263 Å; angles 90.00, 90.00, 90.00 degrees
Space group I4_1/amd (No. 141, origin choice 2)
Symmetry-distinct sites (fractional):
Ca 0.000 0.250 0.375
Os 0.000 0.000 0.000
O 0.000 0.250 0.875